(1)
This entry pairs a crystal structure of Ni6OF11 with its computed powder XRD pattern. Radiation: Cu Kα, 1.54184 Å. Structure: a crystal structure in the Materials Project, relaxed with GGA+U.
Lines closer than 0.1° are merged.

Structural model:
Cell lengths 3.085, 10.496, 10.496 Å; angles 37.01, 90.00, 90.00 degrees
Sites, in units of the cell vectors:
Ni1 0.000 0.000 0.000
Ni2 0.000 0.328 0.328
Ni3 0.000 0.664 0.664
Ni4 0.500 0.167 0.167
Ni5 0.500 0.497 0.497
Ni6 0.500 0.832 0.832
O1 0.500 0.267 0.267
F1 0.000 0.027 0.636
F2 0.000 0.301 0.695
F3 0.000 0.364 0.967
F4 0.000 0.636 0.027
F5 0.000 0.695 0.301
F6 0.000 0.967 0.364
F7 0.500 0.066 0.066
F8 0.500 0.396 0.396
F9 0.500 0.599 0.599
F10 0.500 0.731 0.731
F11 0.500 0.934 0.934

The 12 most intense peaks (2θ = 5–70°), low angle first:
- 26.76 deg, d = 3.331 Å, rel. 87.9
- 26.87 deg, d = 3.318 Å, rel. 88.9
- 34.78 deg, d = 2.579 Å, rel. 100.0
- 38.29 deg, d = 2.351 Å, rel. 17.0
- 39.87 deg, d = 2.261 Å, rel. 28.4
- 52.62 deg, d = 1.739 Å, rel. 58.3
- 52.75 deg, d = 1.735 Å, rel. 56.3
- 55.14 deg, d = 1.666 Å, rel. 16.8
- 55.38 deg, d = 1.659 Å, rel. 16.4
- 59.97 deg, d = 1.542 Å, rel. 16.8
- 66.87 deg, d = 1.399 Å, rel. 22.6
- 66.98 deg, d = 1.397 Å, rel. 40.4

(2)
This entry pairs a crystal structure of Ni3OF5 with its computed powder XRD pattern. Radiation: Cu Kα, 1.54184 Å. Structure: a crystal structure in the Materials Project, relaxed with GGA+U.
Lines closer than 0.1° are merged.

Structural model:
Cell lengths 5.631, 5.631, 7.390 Å; angles 108.07, 108.07, 71.59 degrees
Sites, in units of the cell vectors:
Ni1 0.000 0.000 0.000
Ni2 0.000 0.000 0.500
Ni3 0.331 0.331 0.335
Ni4 0.342 0.342 0.841
Ni5 0.658 0.658 0.159
Ni6 0.669 0.669 0.665
O1 0.301 0.699 0.000
O2 0.699 0.301 0.000
F1 0.025 0.635 0.331
F2 0.100 0.100 0.300
F3 0.234 0.234 0.038
F4 0.364 0.975 0.669
F5 0.437 0.437 0.631
F6 0.563 0.563 0.369
F7 0.635 0.025 0.331
F8 0.766 0.766 0.962
F9 0.900 0.900 0.700
F10 0.975 0.364 0.669

The 12 most intense peaks (2θ = 5–70°), low angle first:
- 26.57 deg, d = 3.355 Å, rel. 88.1
- 27.08 deg, d = 3.293 Å, rel. 88.5
- 34.67 deg, d = 2.587 Å, rel. 100.0
- 38.30 deg, d = 2.350 Å, rel. 17.6
- 39.59 deg, d = 2.276 Å, rel. 14.2
- 39.95 deg, d = 2.257 Å, rel. 13.5
- 52.33 deg, d = 1.748 Å, rel. 59.1
- 52.90 deg, d = 1.731 Å, rel. 55.2
- 54.72 deg, d = 1.677 Å, rel. 16.9
- 55.84 deg, d = 1.647 Å, rel. 16.1
- 59.67 deg, d = 1.549 Å, rel. 16.4
- 66.92 deg, d = 1.398 Å, rel. 40.2

(3)
This entry pairs a crystal structure of Ni3OF5 with its computed powder XRD pattern. Radiation: Cu Kα, 1.54184 Å. Structure: a crystal structure in the Materials Project, relaxed with GGA+U.
Lines closer than 0.1° are merged.

Structural model:
Cell lengths 9.283, 4.689, 4.689 Å; angles 90.78, 90.00, 90.00 degrees
Sites, in units of the cell vectors:
Ni1 0.000 0.000 0.000
Ni2 0.167 0.488 0.488
Ni3 0.330 0.007 0.007
Ni4 0.500 0.506 0.506
Ni5 0.670 0.007 0.007
Ni6 0.833 0.488 0.488
O1 0.168 0.194 0.194
O2 0.832 0.194 0.194
F1 0.000 0.300 0.694
F2 0.000 0.694 0.300
F3 0.166 0.795 0.795
F4 0.333 0.304 0.698
F5 0.333 0.698 0.304
F6 0.500 0.202 0.202
F7 0.500 0.811 0.811
F8 0.667 0.304 0.698
F9 0.667 0.698 0.304
F10 0.834 0.795 0.795

The 12 most intense peaks (2θ = 5–70°), low angle first:
- 26.70 deg, d = 3.338 Å, rel. 85.8
- 27.08 deg, d = 3.293 Å, rel. 85.8
- 34.73 deg, d = 2.583 Å, rel. 100.0
- 38.40 deg, d = 2.344 Å, rel. 16.6
- 39.72 deg, d = 2.269 Å, rel. 14.0
- 39.98 deg, d = 2.255 Å, rel. 14.1
- 52.52 deg, d = 1.742 Å, rel. 58.2
- 52.95 deg, d = 1.729 Å, rel. 52.8
- 55.02 deg, d = 1.669 Å, rel. 16.5
- 55.84 deg, d = 1.646 Å, rel. 15.6
- 59.77 deg, d = 1.547 Å, rel. 16.4
- 67.09 deg, d = 1.395 Å, rel. 38.5

(4)
This entry pairs a crystal structure of Ni3OF5 with its computed powder XRD pattern. Radiation: Cu Kα, 1.54184 Å. Structure: a crystal structure in the Materials Project, relaxed with GGA+U.
Lines closer than 0.1° are merged.

Structural model:
Cell lengths 5.624, 5.624, 7.279 Å; angles 107.23, 107.23, 73.00 degrees
Sites, in units of the cell vectors:
Ni1 0.000 0.000 0.000
Ni2 0.000 0.000 0.500
Ni3 0.337 0.337 0.328
Ni4 0.341 0.341 0.837
Ni5 0.659 0.659 0.163
Ni6 0.663 0.663 0.672
O1 0.433 0.433 0.131
O2 0.567 0.567 0.869
F1 0.031 0.639 0.833
F2 0.105 0.105 0.798
F3 0.235 0.235 0.535
F4 0.302 0.698 0.500
F5 0.361 0.969 0.167
F6 0.639 0.031 0.833
F7 0.698 0.302 0.500
F8 0.765 0.765 0.465
F9 0.895 0.895 0.202
F10 0.969 0.361 0.167

The 12 most intense peaks (2θ = 5–70°), low angle first:
- 26.64 deg, d = 3.346 Å, rel. 87.3
- 27.07 deg, d = 3.294 Å, rel. 87.5
- 34.71 deg, d = 2.584 Å, rel. 100.0
- 38.34 deg, d = 2.347 Å, rel. 17.2
- 39.67 deg, d = 2.272 Å, rel. 14.1
- 39.97 deg, d = 2.256 Å, rel. 13.8
- 52.44 deg, d = 1.745 Å, rel. 58.8
- 52.92 deg, d = 1.730 Å, rel. 54.4
- 54.88 deg, d = 1.673 Å, rel. 16.7
- 55.81 deg, d = 1.647 Å, rel. 15.9
- 59.75 deg, d = 1.548 Å, rel. 16.5
- 67.01 deg, d = 1.397 Å, rel. 39.6

(5)
This entry pairs a crystal structure of Ni6OF11 with its computed powder XRD pattern. Radiation: Cu Kα, 1.54184 Å. Structure: a crystal structure in the Materials Project, relaxed with GGA+U.
Lines closer than 0.1° are merged.

Structural model:
Cell lengths 5.636, 5.636, 7.309 Å; angles 107.26, 107.26, 72.71 degrees
Sites, in units of the cell vectors:
Ni1 0.000 0.000 0.000
Ni2 0.002 0.002 0.489
Ni3 0.335 0.335 0.829
Ni4 0.338 0.338 0.329
Ni5 0.670 0.670 0.662
Ni6 0.677 0.677 0.160
O1 0.903 0.903 0.199
F1 0.033 0.639 0.828
F2 0.101 0.101 0.792
F3 0.236 0.236 0.531
F4 0.307 0.699 0.495
F5 0.367 0.976 0.161
F6 0.443 0.443 0.128
F7 0.568 0.568 0.863
F8 0.639 0.033 0.828
F9 0.699 0.307 0.495
F10 0.770 0.770 0.460
F11 0.976 0.367 0.161

The 12 most intense peaks (2θ = 5–70°), low angle first:
- 26.68 deg, d = 3.341 Å, rel. 87.8
- 26.96 deg, d = 3.308 Å, rel. 87.3
- 34.60 deg, d = 2.593 Å, rel. 100.0
- 38.29 deg, d = 2.350 Å, rel. 16.9
- 39.61 deg, d = 2.276 Å, rel. 14.4
- 39.80 deg, d = 2.265 Å, rel. 14.2
- 52.40 deg, d = 1.746 Å, rel. 58.6
- 52.71 deg, d = 1.737 Å, rel. 55.9
- 54.97 deg, d = 1.670 Å, rel. 16.7
- 55.57 deg, d = 1.654 Å, rel. 16.1
- 59.48 deg, d = 1.554 Å, rel. 17.0
- 66.87 deg, d = 1.399 Å, rel. 40.4

(6)
This entry pairs a crystal structure of Ni3OF5 with its computed powder XRD pattern. Radiation: Cu Kα, 1.54184 Å. Structure: a crystal structure in the Materials Project, relaxed with GGA+U.
Lines closer than 0.1° are merged.

Structural model:
Cell lengths 5.629, 5.629, 7.278 Å; angles 107.13, 107.13, 73.10 degrees
Sites, in units of the cell vectors:
Ni1 0.000 0.000 0.000
Ni2 0.000 0.000 0.489
Ni3 0.337 0.337 0.328
Ni4 0.341 0.341 0.827
Ni5 0.666 0.666 0.667
Ni6 0.674 0.674 0.154
O1 0.568 0.568 0.863
O2 0.902 0.902 0.197
F1 0.034 0.640 0.827
F2 0.104 0.104 0.792
F3 0.235 0.235 0.530
F4 0.305 0.700 0.494
F5 0.366 0.973 0.161
F6 0.440 0.440 0.127
F7 0.640 0.034 0.827
F8 0.700 0.305 0.494
F9 0.766 0.766 0.460
F10 0.973 0.366 0.161

The 12 most intense peaks (2θ = 5–70°), low angle first:
- 26.59 deg, d = 3.352 Å, rel. 86.6
- 27.08 deg, d = 3.292 Å, rel. 86.0
- 34.67 deg, d = 2.587 Å, rel. 100.0
- 38.32 deg, d = 2.349 Å, rel. 16.8
- 39.60 deg, d = 2.276 Å, rel. 13.9
- 39.95 deg, d = 2.257 Å, rel. 14.0
- 52.34 deg, d = 1.748 Å, rel. 58.6
- 52.91 deg, d = 1.731 Å, rel. 53.6
- 54.76 deg, d = 1.676 Å, rel. 16.8
- 55.85 deg, d = 1.646 Å, rel. 15.6
- 59.65 deg, d = 1.550 Å, rel. 16.5
- 66.95 deg, d = 1.398 Å, rel. 39.1

(7)
This entry pairs a crystal structure of Ni3OF5 with its computed powder XRD pattern. Radiation: Cu Kα, 1.54184 Å. Structure: a crystal structure in the Materials Project, relaxed with GGA+U.
Lines closer than 0.1° are merged.

Structural model:
Cell lengths 5.606, 5.619, 7.370 Å; angles 71.87, 71.90, 71.60 degrees
Sites, in units of the cell vectors:
Ni1 0.000 0.000 0.000
Ni2 0.000 0.000 0.500
Ni3 0.319 0.349 0.168
Ni4 0.325 0.331 0.671
Ni5 0.675 0.669 0.329
Ni6 0.681 0.651 0.832
O1 0.026 0.645 0.165
O2 0.974 0.355 0.835
F1 0.099 0.105 0.203
F2 0.231 0.233 0.465
F3 0.307 0.696 0.496
F4 0.373 0.959 0.833
F5 0.433 0.433 0.869
F6 0.567 0.567 0.131
F7 0.627 0.041 0.167
F8 0.693 0.304 0.504
F9 0.769 0.767 0.535
F10 0.901 0.895 0.797

The 12 most intense peaks (2θ = 5–70°), low angle first:
- 26.64 deg, d = 3.346 Å, rel. 87.3
- 27.16 deg, d = 3.283 Å, rel. 86.2
- 34.80 deg, d = 2.578 Å, rel. 100.0
- 38.41 deg, d = 2.343 Å, rel. 16.9
- 52.50 deg, d = 1.743 Å, rel. 58.7
- 53.05 deg, d = 1.726 Å, rel. 26.5
- 53.13 deg, d = 1.724 Å, rel. 26.4
- 54.88 deg, d = 1.673 Å, rel. 16.8
- 56.03 deg, d = 1.641 Å, rel. 15.5
- 59.93 deg, d = 1.543 Å, rel. 16.4
- 67.10 deg, d = 1.395 Å, rel. 19.4
- 67.21 deg, d = 1.393 Å, rel. 19.4

(8)
This entry pairs a crystal structure of Ni6OF11 with its computed powder XRD pattern. Radiation: Cu Kα, 1.54184 Å. Structure: a crystal structure in the Materials Project, relaxed with GGA+U.
Lines closer than 0.1° are merged.

Structural model:
Cell lengths 4.698, 5.634, 7.789 Å; angles 86.40, 89.67, 89.57 degrees
Sites, in units of the cell vectors:
Ni1 0.000 0.000 0.000
Ni2 0.002 0.664 0.331
Ni3 0.014 0.326 0.662
Ni4 0.494 0.167 0.339
Ni5 0.497 0.839 0.664
Ni6 0.506 0.498 0.996
O1 0.307 0.128 0.564
F1 0.197 0.298 0.898
F2 0.199 0.630 0.563
F3 0.199 0.962 0.230
F4 0.306 0.464 0.230
F5 0.306 0.797 0.898
F6 0.695 0.200 0.104
F7 0.701 0.535 0.762
F8 0.701 0.868 0.433
F9 0.806 0.036 0.767
F10 0.806 0.701 0.099
F11 0.807 0.367 0.433

The 12 most intense peaks (2θ = 5–70°), low angle first:
- 26.71 deg, d = 3.337 Å, rel. 87.8
- 26.96 deg, d = 3.307 Å, rel. 87.4
- 34.61 deg, d = 2.592 Å, rel. 100.0
- 38.32 deg, d = 2.349 Å, rel. 16.9
- 39.63 deg, d = 2.274 Å, rel. 14.3
- 39.81 deg, d = 2.264 Å, rel. 14.2
- 52.44 deg, d = 1.745 Å, rel. 58.5
- 52.73 deg, d = 1.736 Å, rel. 55.8
- 55.04 deg, d = 1.669 Å, rel. 16.7
- 55.58 deg, d = 1.653 Å, rel. 16.0
- 59.50 deg, d = 1.554 Å, rel. 17.0
- 66.91 deg, d = 1.398 Å, rel. 40.3

(9)
This entry pairs a crystal structure of Ni6OF11 with its computed powder XRD pattern. Radiation: Cu Kα, 1.54184 Å. Structure: a crystal structure in the Materials Project, relaxed with GGA+U.
Lines closer than 0.1° are merged.

Structural model:
Cell lengths 4.735, 3.096, 13.915 Å; angles 90.00, 90.41, 90.00 degrees
Sites, in units of the cell vectors:
Ni1 0.000 0.000 0.000
Ni2 0.005 0.000 0.334
Ni3 0.017 0.000 0.670
Ni4 0.492 0.500 0.829
Ni5 0.503 0.500 0.167
Ni6 0.509 0.500 0.501
O1 0.317 0.000 0.765
F1 0.187 0.500 0.264
F2 0.187 0.500 0.596
F3 0.187 0.500 0.931
F4 0.320 0.000 0.097
F5 0.324 0.000 0.431
F6 0.684 0.000 0.902
F7 0.686 0.000 0.237
F8 0.692 0.000 0.573
F9 0.821 0.500 0.071
F10 0.821 0.500 0.737
F11 0.822 0.500 0.404

The 12 most intense peaks (2θ = 5–70°), low angle first:
- 26.81 deg, d = 3.325 Å, rel. 100.0
- 27.01 deg, d = 3.302 Å, rel. 99.8
- 34.62 deg, d = 2.591 Å, rel. 51.4
- 34.84 deg, d = 2.575 Å, rel. 64.6
- 52.40 deg, d = 1.746 Å, rel. 31.2
- 52.62 deg, d = 1.739 Å, rel. 29.5
- 52.88 deg, d = 1.731 Å, rel. 36.2
- 53.10 deg, d = 1.725 Å, rel. 34.8
- 59.74 deg, d = 1.548 Å, rel. 19.6
- 66.49 deg, d = 1.406 Å, rel. 25.6
- 66.70 deg, d = 1.402 Å, rel. 26.0
- 67.75 deg, d = 1.383 Å, rel. 19.8

(10)
This entry pairs a crystal structure of Ni3OF5 with its computed powder XRD pattern. Radiation: Cu Kα, 1.54184 Å. Structure: a crystal structure in the Materials Project, relaxed with GGA+U.
Lines closer than 0.1° are merged.

Structural model:
Cell lengths 5.625, 5.625, 7.274 Å; angles 107.18, 107.18, 73.32 degrees
Sites, in units of the cell vectors:
Ni1 0.000 0.000 0.000
Ni2 0.000 0.000 0.500
Ni3 0.328 0.328 0.339
Ni4 0.334 0.334 0.826
Ni5 0.666 0.666 0.174
Ni6 0.672 0.672 0.661
O1 0.229 0.229 0.535
O2 0.771 0.771 0.465
F1 0.032 0.636 0.833
F2 0.101 0.101 0.800
F3 0.305 0.695 0.500
F4 0.364 0.968 0.167
F5 0.430 0.430 0.130
F6 0.570 0.570 0.870
F7 0.636 0.032 0.833
F8 0.695 0.305 0.500
F9 0.899 0.899 0.200
F10 0.968 0.364 0.167

The 12 most intense peaks (2θ = 5–70°), low angle first:
- 26.54 deg, d = 3.359 Å, rel. 87.6
- 27.10 deg, d = 3.290 Å, rel. 86.2
- 34.73 deg, d = 2.583 Å, rel. 100.0
- 38.29 deg, d = 2.350 Å, rel. 17.0
- 39.63 deg, d = 2.274 Å, rel. 14.3
- 52.33 deg, d = 1.748 Å, rel. 59.1
- 52.97 deg, d = 1.729 Å, rel. 53.7
- 54.65 deg, d = 1.679 Å, rel. 16.9
- 55.88 deg, d = 1.645 Å, rel. 15.6
- 59.84 deg, d = 1.546 Å, rel. 16.4
- 66.91 deg, d = 1.398 Å, rel. 31.1
- 66.97 deg, d = 1.397 Å, rel. 19.6

(11)
This entry pairs a crystal structure of Ni3OF5 with its computed powder XRD pattern. Radiation: Cu Kα, 1.54184 Å. Structure: a crystal structure in the Materials Project, relaxed with GGA+U.
Lines closer than 0.1° are merged.

Structural model:
Cell lengths 3.094, 4.696, 14.087 Å; angles 90.00, 90.00, 90.00 degrees
Sites, in units of the cell vectors:
Ni1 0.000 0.235 0.000
Ni2 0.000 0.237 0.340
Ni3 0.000 0.261 0.671
Ni4 0.500 0.739 0.171
Ni5 0.500 0.763 0.840
Ni6 0.500 0.765 0.500
O1 0.000 0.948 0.438
O2 0.500 0.052 0.938
F1 0.000 0.546 0.239
F2 0.000 0.553 0.902
F3 0.000 0.558 0.568
F4 0.000 0.943 0.107
F5 0.000 0.949 0.770
F6 0.500 0.051 0.270
F7 0.500 0.057 0.607
F8 0.500 0.442 0.068
F9 0.500 0.447 0.402
F10 0.500 0.454 0.739

The 12 most intense peaks (2θ = 5–70°), low angle first:
- 26.85 deg, d = 3.320 Å, rel. 100.0
- 34.72 deg, d = 2.584 Å, rel. 57.8
- 38.34 deg, d = 2.348 Å, rel. 9.7
- 39.82 deg, d = 2.264 Å, rel. 15.9
- 43.07 deg, d = 2.100 Å, rel. 5.4
- 52.68 deg, d = 1.738 Å, rel. 64.3
- 55.34 deg, d = 1.660 Å, rel. 18.4
- 59.78 deg, d = 1.547 Å, rel. 9.6
- 62.55 deg, d = 1.485 Å, rel. 10.2
- 63.61 deg, d = 1.463 Å, rel. 0.5
- 66.70 deg, d = 1.402 Å, rel. 12.9
- 67.00 deg, d = 1.397 Å, rel. 22.3